Theoretical XRD peak list of MgAg2F4 for Cu Kα (λ = 1.5418 Å), from a DFT-relaxed cell (PBE, Alexandria).
No peak broadening, texture or thermal motion is included.

Most intense lines, 10° ≤ 2θ ≤ 90°, by angle:
| 2θ/deg | d [Å] | Rel. int. |
| --- | --- | --- |
| 15.40 | 5.754 | 21 |
| 28.53 | 3.129 | 100 |
| 33.17 | 2.701 | 33 |
| 33.99 | 2.637 | 43 |
| 36.76 | 2.445 | 20 |
| 40.77 | 2.213 | 66 |
| 47.16 | 1.927 | 21 |
| 47.39 | 1.918 | 19 |
| 52.14 | 1.754 | 20 |
| 59.03 | 1.565 | 21 |

Structure:
```
MgAg2F4
1.0
2.701 -5.754 0.000
2.701 5.754 0.000
0.000 0.000 3.132
Mg Ag F
1 2 4
Cartesian
0.000 0.000 0.000
2.701 1.981 1.566
2.701 -1.981 1.566
2.701 3.785 0.000
1.313 0.000 1.566
4.089 0.000 1.566
2.701 -3.785 0.000
```